# 1
SmBeH8Ir2: theoretical powder diffraction line list (CuKα), based on DFT lattice parameters and positions (PBE).
Kinematic intensities with the Lorentz-polarization factor, no thermal factor.

Structure:
```
data_SmBeH8Ir2
_chemical_formula_sum 'Sm2 Be2 H16 Ir4'
_symmetry_space_group_name_H-M 'C 1 2/m 1'
_symmetry_Int_Tables_number 12
_cell_length_a 7.677
_cell_length_b 4.165
_cell_length_c 6.475
_cell_angle_alpha 90.00
_cell_angle_beta 113.23
_cell_angle_gamma 90.00
loop_
_symmetry_equiv_pos_as_xyz
'x,y,z'
'-x,-y,-z'
'-x,y,-z'
'x,-y,z'
'x+1/2,y+1/2,z'
'-x+1/2,-y+1/2,-z'
'-x+1/2,y+1/2,-z'
'x+1/2,-y+1/2,z'
loop_
_atom_site_label
_atom_site_type_symbol
_atom_site_fract_x
_atom_site_fract_y
_atom_site_fract_z
Sm1 Sm 0.000 0.000 0.000
Be1 Be 0.000 0.500 0.500
H1 H 0.063 0.500 0.193
H2 H 0.164 0.262 0.804
H3 H 0.239 0.000 0.389
Ir1 Ir 0.204 0.000 0.633
```

Largest 10 diffraction maxima, sorted by position, 2θ = 5–70°:
two_theta, intensity
24.83, 62
26.32, 29
30.74, 45
31.61, 67
34.29, 58
35.12, 100
41.41, 73
43.46, 33
56.49, 28
63.40, 30


# 2
K2Be2H7: theoretical powder diffraction line list (CuKα), based on DFT lattice parameters and positions (PBE).
Kinematic intensities with the Lorentz-polarization factor, no thermal factor.

Structure:
```
data_K2Be2H7
_chemical_formula_sum 'K4 Be4 H14'
_symmetry_space_group_name_H-M 'C m m m'
_symmetry_Int_Tables_number 65
_symmetry_space_group_name_Hall '-C 2 2'
_cell_length_a 7.269
_cell_length_b 9.757
_cell_length_c 3.423
_cell_angle_alpha 90.00
_cell_angle_beta 90.00
_cell_angle_gamma 90.00
loop_
_atom_site_label
_atom_site_type_symbol
_atom_site_fract_x
_atom_site_fract_y
_atom_site_fract_z
K1 K 0.000 0.248 0.000
Be1 Be 0.200 0.500 0.500
H1 H 0.000 0.500 0.500
H2 H 0.219 0.500 0.000
H3 H 0.229 0.135 0.500
```

Largest 10 diffraction maxima, sorted by position, 2θ = 5–70°:
two_theta, intensity
18.18, 87
24.49, 42
26.03, 37
30.68, 100
31.94, 88
36.05, 63
36.85, 29
40.66, 57
44.75, 21
52.50, 31


# 3
K2BeH5: theoretical powder diffraction line list (CuKα), based on DFT lattice parameters and positions (PBE).
Kinematic intensities with the Lorentz-polarization factor, no thermal factor.

Structure:
```
data_K2BeH5
_chemical_formula_sum 'K4 Be2 H10'
_symmetry_space_group_name_H-M 'I 4 m m'
_symmetry_Int_Tables_number 107
_symmetry_space_group_name_Hall 'I 4 -2'
_cell_length_a 5.585
_cell_length_b 5.585
_cell_length_c 7.687
_cell_angle_alpha 90.00
_cell_angle_beta 90.00
_cell_angle_gamma 90.00
loop_
_atom_site_label
_atom_site_type_symbol
_atom_site_fract_x
_atom_site_fract_y
_atom_site_fract_z
K1 K 0.000 0.500 0.000
Be1 Be 0.000 0.000 0.294
H1 H 0.000 0.000 0.481
H2 H 0.182 0.182 0.237
```

Largest 10 diffraction maxima, sorted by position, 2θ = 5–70°:
two_theta, intensity
22.52, 93
23.14, 42
32.05, 51
32.51, 100
39.91, 47
45.96, 19
51.76, 18
52.07, 17
52.99, 17
57.42, 31


Please write out number 3 again, unchanged.
K2BeH5: theoretical powder diffraction line list (CuKα), based on DFT lattice parameters and positions (PBE).
Kinematic intensities with the Lorentz-polarization factor, no thermal factor.

Structure:
```
data_K2BeH5
_chemical_formula_sum 'K4 Be2 H10'
_symmetry_space_group_name_H-M 'I 4 m m'
_symmetry_Int_Tables_number 107
_symmetry_space_group_name_Hall 'I 4 -2'
_cell_length_a 5.585
_cell_length_b 5.585
_cell_length_c 7.687
_cell_angle_alpha 90.00
_cell_angle_beta 90.00
_cell_angle_gamma 90.00
loop_
_atom_site_label
_atom_site_type_symbol
_atom_site_fract_x
_atom_site_fract_y
_atom_site_fract_z
K1 K 0.000 0.500 0.000
Be1 Be 0.000 0.000 0.294
H1 H 0.000 0.000 0.481
H2 H 0.182 0.182 0.237
```

Largest 10 diffraction maxima, sorted by position, 2θ = 5–70°:
two_theta, intensity
22.52, 93
23.14, 42
32.05, 51
32.51, 100
39.91, 47
45.96, 19
51.76, 18
52.07, 17
52.99, 17
57.42, 31